Structure and calculated PXRD pattern of Pr2Ge4Os3 (a GGA-PBE-relaxed structure; Cu Kα).

Main lines, in order of falling intensity (10° ≤ 2θ ≤ 80°):
2theta  Rel. int.
13.9  100
38.0  96
39.4  60
36.7  49
42.8  33
27.8  33
39.0  30
42.5  29

Cell and atoms:
a = 5.6372 Å, b = 9.8978 Å, c = 12.7748 Å
α = 90.00°, β = 90.00°, γ = 90.00°
Space group Fmmm (No. 69)
One atom of each set of equivalent atoms:
Pr (0.0000, 0.0000, 0.1326)
Ge (0.0000, 0.1694, 0.3471)
Os (0.0000, 0.0000, 0.5000)
Os (0.2500, 0.2500, 0.0000)